Diffraction record for Pr2ErMg4In2. The powder X-ray diffraction pattern is theoretical, not measured: it uses the PBE geometry in OQMD and CuKα.

The 6 most intense peaks (2θ from 10° to 80°), most intense first:
d 2.981, I = 100, (1 3 1)
d 2.739, I = 89, (1 2 2)
d 6.692, I = 63, (0 1 1)
d 2.708, I = 48, (1 4 0)
d 3.013, I = 42, (1 0 2)
d 2.385, I = 37, (2 0 0)

Cell and atoms:
```
data_Pr2ErMg4In2
_chemical_formula_sum 'Pr4 Er2 Mg8 In4'
_symmetry_space_group_name_H-M 'A m m 2'
_symmetry_Int_Tables_number 38
_symmetry_space_group_name_Hall 'A 2 -2'
_cell_length_a 4.7703
_cell_length_b 13.1546
_cell_length_c 7.7726
_cell_angle_alpha 90.00
_cell_angle_beta 90.00
_cell_angle_gamma 90.00
loop_
_atom_site_label
_atom_site_type_symbol
_atom_site_fract_x
_atom_site_fract_y
_atom_site_fract_z
Pr1 Pr 0.0000 0.2143 0.0000
Er1 Er 0.0000 0.0000 0.3489
Mg1 Mg 0.0000 0.0000 0.7712
Mg2 Mg 0.5000 0.0000 0.0224
Mg3 Mg 0.5000 0.1220 0.6598
In1 In 0.5000 0.1624 0.2861
```